Diffraction record for Cs3CeF6. The powder diffractogram is computed, not measured: it uses DFT lattice parameters and positions (PBE) and Cu Kα.
Neutral-atom scattering factors, no anomalous dispersion.

a b c (Å): 7.282 7.282 7.282
angles (deg): 60.00 60.00 60.00
Fractional coordinates of all 10 atoms:
Cs: 0.000 0.000 0.000
Cs: 0.250 0.250 0.250
Cs: 0.750 0.750 0.750
Ce: 0.500 0.500 0.500
F: 0.276 0.276 0.724
F: 0.276 0.724 0.276
F: 0.276 0.724 0.724
F: 0.724 0.276 0.276
F: 0.724 0.276 0.724
F: 0.724 0.724 0.276

Main lines, by angle (10° ≤ 2θ ≤ 90°):
| Position (°2θ) | d [Å] | Rel. int. |
| --- | --- | --- |
| 24.4 | 3.641 | 100.0 |
| 34.8 | 2.575 | 33.6 |
| 43.0 | 2.102 | 42.8 |
| 50.1 | 1.821 | 22.3 |
| 56.5 | 1.628 | 21.1 |
| 68.1 | 1.376 | 23.7 |
| 78.9 | 1.214 | 11.4 |
| 84.1 | 1.151 | 9.1 |

---

Diffraction record for TlSnI3. The powder diffractogram is computed, not measured: it uses DFT lattice parameters and positions (PBE) and Cu Kα.
Neutral-atom scattering factors, no anomalous dispersion.

a b c (Å): 7.948 7.948 11.920
angles (deg): 90.00 90.00 145.99
Fractional coordinates of all 10 atoms:
Tl: 0.246 0.754 0.750
Tl: 0.754 0.246 0.250
Sn: 0.000 0.000 0.000
Sn: 0.000 0.000 0.500
I: 0.079 0.921 0.250
I: 0.360 0.640 0.056
I: 0.360 0.640 0.444
I: 0.640 0.360 0.556
I: 0.640 0.360 0.944
I: 0.921 0.079 0.750

Main lines, by angle (10° ≤ 2θ ≤ 90°):
| Position (°2θ) | d [Å] | Rel. int. |
| --- | --- | --- |
| 18.9 | 4.690 | 39.3 |
| 25.3 | 3.521 | 42.0 |
| 26.0 | 3.425 | 45.7 |
| 27.1 | 3.292 | 97.5 |
| 30.1 | 2.966 | 100.0 |
| 38.6 | 2.332 | 42.0 |
| 38.7 | 2.324 | 34.3 |
| 46.4 | 1.957 | 37.8 |